Starting from DFT lattice parameters and positions (GGA-PBE), the powder XRD pattern of RbTl9Sn3 was calculated for Cu Kα (λ = 1.5418 Å).
Kinematic intensities with the Lorentz-polarization factor, no thermal factor.

Top 12 peaks for 5° ≤ 2θ ≤ 70°, low angle first:
d/Å, intensity
3.273, 31
3.212, 31
2.885, 73
2.867, 66
2.831, 38
2.810, 62
2.792, 33
2.597, 29
2.532, 100
2.518, 25
2.488, 26
1.637, 29

Cell and atoms:
```
13
Lattice="3.2125 -8.2405 0.0000 3.2125 8.2405 0.0000 -3.1144 0.0000 7.9849" Properties=species:S:1:pos:R:3 pbc="T T T"
Rb 0.0000 0.0000 0.0000
Tl -1.5572 0.0000 3.9924
Tl 0.0553 5.2782 5.1786
Tl 0.1051 1.7792 6.3033
Tl 3.2554 5.2782 2.8062
Tl 3.2056 1.7792 1.6815
Tl 0.1051 -1.7792 6.3033
Tl 0.0553 -5.2782 5.1786
Tl 3.2056 -1.7792 1.6815
Tl 3.2554 -5.2782 2.8062
Sn 1.6063 4.1202 0.0000
Sn 1.6063 -4.1202 0.0000
Sn 1.6553 0.0000 3.9924
```

Starting from DFT lattice parameters and positions (GGA-PBE), the powder XRD pattern of RbTl4Sn2 was calculated for Cu Kα (λ = 1.5418 Å).
Kinematic intensities with the Lorentz-polarization factor, no thermal factor.

Top 12 peaks for 5° ≤ 2θ ≤ 70°, low angle first:
d/Å, intensity
8.394, 47
3.262, 9
3.148, 100
2.805, 41
2.591, 29
2.518, 63
1.903, 27
1.679, 32
1.584, 14
1.558, 15
1.482, 13
1.410, 13

Cell and atoms:
```
7
Lattice="2.8055 -8.3938 0.0000 2.8055 8.3938 0.0000 0.0000 0.0000 5.1828" Properties=species:S:1:pos:R:3 pbc="T T T"
Rb 0.0000 0.0000 0.0000
Tl 2.8055 5.3386 2.5914
Tl 2.8055 3.2178 0.0000
Tl 2.8055 -3.2178 0.0000
Tl 2.8055 -5.3386 2.5914
Sn 2.8055 1.4728 2.5914
Sn 2.8055 -1.4728 2.5914
```